Diffraction record for PmSm2Ru. The powder diffraction line list is theoretical, not measured: it uses the PBE geometry in Alexandria and Cu Kα.
Neutral-atom scattering factors, no anomalous dispersion.

Most intense lines, 5 to 70 degrees two-theta, sorted by position:
hkl 1 1 2, 2θ 30.3, I 80; hkl 1 3 0, 2θ 31.4, I 51; hkl 0 2 3, 2θ 32.1, I 97; hkl 1 3 1, 2θ 32.9, I 100; hkl 1 1 3, 2θ 37.3, I 52; hkl 2 2 3, 2θ 56.9, I 38

Crystal structure
Cell lengths 3.975, 12.230, 9.409 Å; angles 90.00, 90.00, 90.00 degrees
Space group Cmcm (No. 63)
Unique sites:
Pm: 0.000 0.080 0.250 (multiplicity 4)
Sm: 0.000 0.357 0.070 (multiplicity 8)
Ru: 0.000 0.254 0.750 (multiplicity 4)

***

Diffraction record for Pm3SmRu2. The powder diffraction line list is theoretical, not measured: it uses the PBE geometry in Alexandria and Cu Kα.
Neutral-atom scattering factors, no anomalous dispersion.

Most intense lines, 5 to 70 degrees two-theta, sorted by position:
hkl 1 2 1, 2θ 22.0, I 55; hkl 2 0 0, 2θ 25.9, I 63; hkl 1 1 2, 2θ 28.7, I 42; hkl 1 3 2, 2θ 34.2, I 67; hkl 2 0 2, 2θ 36.1, I 85; hkl 2 4 0, 2θ 37.0, I 100

Crystal structure
Cell lengths 6.871, 13.777, 7.220 Å; angles 90.00, 90.00, 90.00 degrees
Space group Ibam (No. 72)
Unique sites:
Pm: 0.000 0.000 0.250 (multiplicity 4)
Pm: 0.000 0.264 0.250 (multiplicity 8)
Sm: 0.000 0.500 0.000 (multiplicity 4)
Ru: 0.226 0.133 0.000 (multiplicity 8)

***

Diffraction record for PmSmZnRu. The powder diffraction line list is theoretical, not measured: it uses the PBE geometry in Alexandria and Cu Kα.
Neutral-atom scattering factors, no anomalous dispersion.

Most intense lines, 5 to 70 degrees two-theta, sorted by position:
hkl 1 1 1, 2θ 31.3, I 100; hkl 0 0 4, 2θ 33.3, I 64; hkl 1 1 3, 2θ 39.4, I 79; hkl 2 0 0, 2θ 41.6, I 27; hkl 0 2 0, 2θ 44.7, I 22; hkl 2 0 4, 2θ 54.3, I 32

Crystal structure
Cell lengths 4.343, 4.059, 10.768 Å; angles 90.00, 90.00, 90.00 degrees
Space group Amm2 (No. 38)
Unique sites:
Pm: 0.000 0.000 0.000 (multiplicity 2)
Sm: 0.500 0.000 0.279 (multiplicity 2)
Zn: 0.500 0.000 0.573 (multiplicity 2)
Ru: 0.000 0.000 0.713 (multiplicity 2)

***

Diffraction record for Pm3Sn7Ru2. The powder diffraction line list is theoretical, not measured: it uses the PBE geometry in Alexandria and Cu Kα.
Neutral-atom scattering factors, no anomalous dispersion.

Most intense lines, 5 to 70 degrees two-theta, sorted by position:
hkl 1 5 1, 2θ 31.6, I 100; hkl 1 7 1, 2θ 35.1, I 22; hkl 2 0 0, 2θ 38.4, I 30; hkl 0 0 2, 2θ 40.0, I 27; hkl 2 0 2, 2θ 56.7, I 20; hkl 1 17 1, 2θ 61.5, I 14

Crystal structure
Cell lengths 4.694, 28.930, 4.503 Å; angles 90.00, 90.00, 90.00 degrees
Space group Cmmm (No. 65)
Unique sites:
Pm: 0.000 0.000 0.000 (multiplicity 2)
Pm: 0.000 0.179 0.000 (multiplicity 4)
Sn: 0.000 0.090 0.500 (multiplicity 4)
Sn: 0.000 0.278 0.500 (multiplicity 4)
Sn: 0.000 0.413 0.000 (multiplicity 4)
Sn: 0.000 0.500 0.500 (multiplicity 2)
Ru: 0.000 0.366 0.500 (multiplicity 4)